# 1
The following is a simulated PXRD pattern of SbP2O7. It was derived from the GGA-PBE geometry in the Materials Project, using CuKα.

Top 12 peaks for 5 to 70 degrees two-theta, low angle first:
2θ = 14.7°, 6.009 Å, I = 83, (0 1 1); 2θ = 16.7°, 5.298 Å, I = 100, (1 1 -1); 2θ = 22.5°, 3.945 Å, I = 29, (1 1 1); 2θ = 23.3°, 3.823 Å, I = 28, (0 2 1); 2θ = 24.6°, 3.620 Å, I = 50, (1 2 -1); 2θ = 26.4°, 3.371 Å, I = 27, (2 1 -1); 2θ = 28.5°, 3.136 Å, I = 61, (2 1 -2); 2θ = 28.9°, 3.093 Å, I = 68, (1 2 -2); 2θ = 29.3°, 3.052 Å, I = 81, (1 0 2); 2θ = 31.0°, 2.887 Å, I = 20, (1 1 -3); 2θ = 34.0°, 2.634 Å, I = 32, (1 3 0); 2θ = 41.4°, 2.181 Å, I = 30, (2 3 -2)

Cell and atoms:
```
data_SbP2O7
_symmetry_space_group_name_H-M 'P 1 21/c 1'
_symmetry_Int_Tables_number 14
_symmetry_space_group_name_Hall '-P 2ybc'
_cell_length_a 7.332
_cell_length_b 8.584
_cell_length_c 9.198
_cell_angle_alpha 90.00
_cell_angle_beta 113.83
_cell_angle_gamma 90.00
loop_
_atom_site_label
_atom_site_type_symbol
_atom_site_fract_x
_atom_site_fract_y
_atom_site_fract_z
Sb1 Sb 0.247 0.089 0.376
P1 P 0.050 0.734 0.473
P2 P 0.434 0.737 0.752
O1 O 0.021 0.103 0.153
O2 O 0.084 0.610 0.909
O3 O 0.098 0.247 0.946
O4 O 0.252 0.660 0.599
O5 O 0.373 0.618 0.304
O6 O 0.386 0.238 0.796
O7 O 0.480 0.593 0.879
```

=====

# 2
The following is a simulated PXRD pattern of SbP2O7. It was derived from the GGA-PBE geometry in the Materials Project, using CuKα.

Top 12 peaks for 5 to 70 degrees two-theta, low angle first:
2θ = 16.6°, 5.334 Å, I = 100, (0 1 1); 2θ = 21.3°, 4.181 Å, I = 34, (1 1 0); 2θ = 21.7°, 4.105 Å, I = 15, (1 1 -1); 2θ = 25.8°, 3.451 Å, I = 18, (1 0 1); 2θ = 27.9°, 3.198 Å, I = 11, (1 1 1); 2θ = 28.3°, 3.151 Å, I = 45, (1 2 -1); 2θ = 28.8°, 3.098 Å, I = 27, (1 1 -2); 2θ = 33.6°, 2.667 Å, I = 15, (0 2 2); 2θ = 34.2°, 2.622 Å, I = 9, (0 3 1); 2θ = 36.8°, 2.444 Å, I = 11, (1 0 2); 2θ = 38.3°, 2.350 Å, I = 10, (1 1 2); 2θ = 41.8°, 2.159 Å, I = 11, (1 3 -2)

Cell and atoms:
```
data_SbP2O7
_symmetry_space_group_name_H-M 'P 1 21 1'
_symmetry_Int_Tables_number 4
_symmetry_space_group_name_Hall 'P 2yb'
_cell_length_a 5.058
_cell_length_b 8.515
_cell_length_c 7.212
_cell_angle_alpha 90.00
_cell_angle_beta 108.38
_cell_angle_gamma 90.00
loop_
_atom_site_label
_atom_site_type_symbol
_atom_site_fract_x
_atom_site_fract_y
_atom_site_fract_z
Sb1 Sb 0.211 0.000 0.222
P1 P 0.220 0.726 0.593
P2 P 0.398 0.319 0.023
O1 O 0.040 0.186 0.349
O2 O 0.127 0.821 0.403
O3 O 0.187 0.454 0.986
O4 O 0.269 0.154 0.008
O5 O 0.394 0.581 0.583
O6 O 0.411 0.847 0.754
O7 O 0.414 0.823 0.108
```

=====

# 3
The following is a simulated PXRD pattern of SbPO4. It was derived from the GGA-PBE geometry in the Materials Project, using CuKα.

Top 12 peaks for 5 to 70 degrees two-theta, low angle first:
2θ = 17.8°, 4.992 Å, I = 67, (2 0 0); 2θ = 24.0°, 3.710 Å, I = 97, (1 1 1); 2θ = 24.5°, 3.629 Å, I = 100, (0 2 0); 2θ = 25.8°, 3.455 Å, I = 28, (2 0 1); 2θ = 28.6°, 3.120 Å, I = 54, (2 1 1); 2θ = 35.1°, 2.557 Å, I = 39, (3 1 1); 2θ = 38.1°, 2.360 Å, I = 22, (4 1 0); 2θ = 41.4°, 2.183 Å, I = 24, (3 2 1); 2θ = 45.8°, 1.982 Å, I = 25, (2 3 1); 2θ = 46.3°, 1.959 Å, I = 39, (1 2 2); 2θ = 48.5°, 1.877 Å, I = 22, (3 1 2); 2θ = 50.3°, 1.813 Å, I = 25, (0 4 0)

Cell and atoms:
```
data_SbPO4
_symmetry_space_group_name_H-M 'P n m a'
_symmetry_Int_Tables_number 62
_symmetry_space_group_name_Hall '-P 2ac 2n'
_cell_length_a 9.984
_cell_length_b 7.258
_cell_length_c 4.787
_cell_angle_alpha 90.00
_cell_angle_beta 90.00
_cell_angle_gamma 90.00
loop_
_atom_site_label
_atom_site_type_symbol
_atom_site_fract_x
_atom_site_fract_y
_atom_site_fract_z
Sb1 Sb 0.205 0.250 0.109
P1 P 0.097 0.750 0.182
O1 O 0.053 0.250 0.748
O2 O 0.113 0.750 0.861
O3 O 0.176 0.585 0.323
```

=====

# 4
The following is a simulated PXRD pattern of Sb2P5O16. It was derived from the GGA-PBE geometry in the Materials Project, using CuKα.

Top 12 peaks for 5 to 70 degrees two-theta, low angle first:
2θ = 12.2°, 7.226 Å, I = 20, (0 1 1); 2θ = 12.5°, 7.073 Å, I = 15, (1 0 0); 2θ = 15.1°, 5.859 Å, I = 100, (1 1 -1); 2θ = 17.7°, 5.004 Å, I = 37, (0 0 2); 2θ = 19.7°, 4.513 Å, I = 17, (1 1 -2); 2θ = 26.6°, 3.351 Å, I = 21, (2 1 0); 2θ = 28.1°, 3.178 Å, I = 19, (0 1 3); 2θ = 28.6°, 3.124 Å, I = 17, (1 3 0); 2θ = 29.2°, 3.063 Å, I = 25, (2 2 -1); 2θ = 34.3°, 2.613 Å, I = 15, (2 2 -3); 2θ = 36.9°, 2.433 Å, I = 17, (3 1 -1); 2θ = 44.6°, 2.032 Å, I = 15, (2 3 -4)

Cell and atoms:
```
data_Sb2P5O16
_symmetry_space_group_name_H-M 'P 1 c 1'
_symmetry_Int_Tables_number 7
_symmetry_space_group_name_Hall 'P -2yc'
_cell_length_a 7.565
_cell_length_b 10.444
_cell_length_c 10.702
_cell_angle_alpha 90.00
_cell_angle_beta 110.76
_cell_angle_gamma 90.00
loop_
_atom_site_label
_atom_site_type_symbol
_atom_site_fract_x
_atom_site_fract_y
_atom_site_fract_z
Sb1 Sb 0.000 0.129 0.000
Sb2 Sb 0.455 0.359 0.390
P1 P 0.191 0.088 0.339
P2 P 0.335 0.383 0.048
P3 P 0.579 0.033 0.363
P4 P 0.630 0.205 0.744
P5 P 0.684 0.352 0.990
O1 O 0.079 0.041 0.425
O2 O 0.107 0.041 0.193
O3 O 0.213 0.265 0.988
O4 O 0.215 0.233 0.351
O5 O 0.297 0.493 0.947
O6 O 0.335 0.424 0.185
O7 O 0.395 0.016 0.404
O8 O 0.538 0.065 0.737
O9 O 0.545 0.268 0.612
O10 O 0.553 0.335 0.076
O11 O 0.566 0.275 0.855
O12 O 0.589 0.166 0.316
O13 O 0.706 0.489 0.957
O14 O 0.743 0.022 0.980
O15 O 0.846 0.193 0.800
O16 O 0.868 0.281 0.066
```

=====

# 5
The following is a simulated PXRD pattern of SbPO4. It was derived from the GGA-PBE geometry in the Materials Project, using CuKα.

Top 12 peaks for 5 to 70 degrees two-theta, low angle first:
2θ = 21.3°, 4.176 Å, I = 63, (0 1 1); 2θ = 22.5°, 3.960 Å, I = 28, (1 1 0); 2θ = 23.5°, 3.784 Å, I = 100, (1 0 -1); 2θ = 25.9°, 3.442 Å, I = 74, (0 2 0); 2θ = 26.4°, 3.372 Å, I = 30, (1 0 1); 2θ = 29.5°, 3.028 Å, I = 46, (1 1 1); 2θ = 35.2°, 2.546 Å, I = 33, (1 2 -1); 2θ = 36.6°, 2.454 Å, I = 23, (0 1 2); 2θ = 37.1°, 2.420 Å, I = 21, (2 0 0); 2θ = 41.4°, 2.183 Å, I = 18, (2 1 -1); 2θ = 43.0°, 2.103 Å, I = 28, (0 3 1); 2θ = 55.4°, 1.659 Å, I = 20, (1 1 -3)

Cell and atoms:
```
data_SbPO4
_symmetry_space_group_name_H-M 'P 1 21/m 1'
_symmetry_Int_Tables_number 11
_symmetry_space_group_name_Hall '-P 2yb'
_cell_length_a 4.873
_cell_length_b 6.885
_cell_length_c 5.288
_cell_angle_alpha 90.00
_cell_angle_beta 96.61
_cell_angle_gamma 90.00
loop_
_atom_site_label
_atom_site_type_symbol
_atom_site_fract_x
_atom_site_fract_y
_atom_site_fract_z
Sb1 Sb 0.191 0.250 0.192
P1 P 0.276 0.750 0.388
O1 O 0.175 0.750 0.660
O2 O 0.176 0.571 0.230
O3 O 0.402 0.250 0.555
```

=====

# 6
The following is a simulated PXRD pattern of Sb2P2O9. It was derived from the GGA-PBE geometry in the Materials Project, using CuKα.

Top 12 peaks for 5 to 70 degrees two-theta, low angle first:
2θ = 12.1°, 7.329 Å, I = 100, (2 0 0); 2θ = 16.0°, 5.530 Å, I = 63, (2 0 1); 2θ = 17.0°, 5.212 Å, I = 41, (0 1 1); 2θ = 18.1°, 4.914 Å, I = 72, (1 1 1); 2θ = 21.0°, 4.229 Å, I = 45, (3 0 1); 2θ = 22.0°, 4.045 Å, I = 58, (1 0 2); 2θ = 29.6°, 3.021 Å, I = 91, (1 2 1); 2θ = 32.3°, 2.769 Å, I = 47, (5 0 1); 2θ = 32.5°, 2.756 Å, I = 26, (1 0 3); 2θ = 34.4°, 2.608 Å, I = 28, (0 2 2); 2θ = 36.6°, 2.457 Å, I = 29, (2 2 2); 2θ = 52.9°, 1.730 Å, I = 30, (5 2 3)

Cell and atoms:
```
data_Sb2P2O9
_symmetry_space_group_name_H-M 'P n m a'
_symmetry_Int_Tables_number 62
_symmetry_space_group_name_Hall '-P 2ac 2n'
_cell_length_a 14.672
_cell_length_b 6.637
_cell_length_c 8.416
_cell_angle_alpha 90.00
_cell_angle_beta 90.00
_cell_angle_gamma 90.00
loop_
_atom_site_label
_atom_site_type_symbol
_atom_site_fract_x
_atom_site_fract_y
_atom_site_fract_z
Sb1 Sb 0.000 0.000 0.000
Sb2 Sb 0.121 0.250 0.361
P1 P 0.061 0.750 0.363
P2 P 0.196 0.750 0.893
O1 O 0.013 0.250 0.507
O2 O 0.014 0.750 0.195
O3 O 0.050 0.250 0.166
O4 O 0.121 0.561 0.379
O5 O 0.139 0.559 0.906
O6 O 0.221 0.250 0.522
O7 O 0.241 0.250 0.238
```